Diffraction record for Co2NiO4. The X-ray powder pattern is computed, not measured: it uses a DFT-relaxed cell (PBE+U, the Materials Project) and copper Kα.

Atomic structure:
a = 5.8307 Å, b = 5.8798 Å, c = 5.8841 Å
α = 60.31°, β = 60.95°, γ = 60.37°
Space group P-1 (No. 2)
One atom of each set of equivalent atoms:
1 Co 0.0000 0.0000 0.0000 [1 per cell]
2 Co 0.0000 0.0000 0.5000 [1 per cell]
3 Co 0.0000 0.5000 0.0000 [1 per cell]
4 Co 0.5000 0.0000 0.0000 [1 per cell]
5 Ni 0.3793 0.3871 0.3610 [2 per cell]
6 O 0.2082 0.7471 0.7915 [2 per cell]
7 O 0.2226 0.2788 0.7645 [2 per cell]
8 O 0.2470 0.7951 0.2174 [2 per cell]
9 O 0.2487 0.2531 0.2099 [2 per cell]

Peak list (10 most intense, 2θ = 15–90°, low angle first)
| 2θ/deg | I_rel |
| --- | --- |
| 30.4 | 61 |
| 35.5 | 100 |
| 35.7 | 63 |
| 35.8 | 97 |
| 35.9 | 36 |
| 36.0 | 70 |
| 36.1 | 36 |
| 57.0 | 29 |
| 63.2 | 56 |
| 63.3 | 28 |


Diffraction record for Co2NiO4. The X-ray powder pattern is computed, not measured: it uses a DFT-relaxed cell (PBE+U, the Materials Project) and copper Kα.

Atomic structure:
a = 5.7136 Å, b = 5.7192 Å, c = 5.7975 Å
α = 89.95°, β = 60.58°, γ = 60.07°
Space group P-1 (No. 2)
One atom of each set of equivalent atoms:
1 Co 0.0000 0.0000 0.0000 [1 per cell]
2 Co 0.0000 0.0000 0.5000 [1 per cell]
3 Co 0.5000 0.0000 0.0000 [1 per cell]
4 Co 0.5000 0.5000 0.0000 [1 per cell]
5 Ni 0.2521 0.3748 0.6203 [2 per cell]
6 O 0.0295 0.2084 0.2334 [2 per cell]
7 O 0.0287 0.7621 0.2342 [2 per cell]
8 O 0.4686 0.7660 0.7958 [2 per cell]
9 O 0.4743 0.7628 0.2351 [2 per cell]

Peak list (10 most intense, 2θ = 15–90°, low angle first)
| 2θ/deg | I_rel |
| --- | --- |
| 19.0 | 33 |
| 30.8 | 43 |
| 31.3 | 61 |
| 36.2 | 65 |
| 36.3 | 32 |
| 36.6 | 99 |
| 36.7 | 100 |
| 36.8 | 94 |
| 44.4 | 45 |
| 65.2 | 54 |


Diffraction record for Co2NiO4. The X-ray powder pattern is computed, not measured: it uses a DFT-relaxed cell (PBE+U, the Materials Project) and copper Kα.

Atomic structure:
a = 5.7188 Å, b = 5.7215 Å, c = 5.8592 Å
α = 112.80°, β = 117.22°, γ = 97.65°
Space group P-1 (No. 2)
One atom of each set of equivalent atoms:
1 Co 0.0000 0.0000 0.0000 [1 per cell]
2 Co 0.0000 0.0000 0.5000 [1 per cell]
3 Co 0.0000 0.5000 0.0000 [1 per cell]
4 Co 0.5000 0.0000 0.5000 [1 per cell]
5 Ni 0.3479 0.5968 0.7496 [2 per cell]
6 O 0.2173 0.7573 0.4849 [2 per cell]
7 O 0.2271 0.2681 0.9839 [2 per cell]
8 O 0.2411 0.2123 0.4598 [2 per cell]
9 O 0.2522 0.7804 0.0385 [2 per cell]

Peak list (10 most intense, 2θ = 15–90°, low angle first)
| 2θ/deg | I_rel |
| --- | --- |
| 31.0 | 26 |
| 33.3 | 57 |
| 34.4 | 100 |
| 35.5 | 58 |
| 36.8 | 31 |
| 38.5 | 31 |
| 38.9 | 62 |
| 52.9 | 26 |
| 57.6 | 30 |
| 66.0 | 34 |